1.
Structure and calculated powder diffractogram of Ca4Te3W5O18 (a cell relaxed with PBE+U; CuKα).
Neutral-atom scattering factors, no anomalous dispersion.

Crystal structure
```
data_Ca4Te3W5O18
_cell_length_a 17.173
_cell_length_b 11.487
_cell_length_c 10.036
_cell_angle_alpha 90.00
_cell_angle_beta 91.04
_cell_angle_gamma 90.00
_symmetry_space_group_name_H-M 'C 1 2 1'
_symmetry_Int_Tables_number 5
loop_
_symmetry_equiv_pos_as_xyz
'x,y,z'
'-x,y,-z'
'x+1/2,y+1/2,z'
'-x+1/2,y+1/2,-z'
loop_
_atom_site_label
_atom_site_type_symbol
_atom_site_fract_x
_atom_site_fract_y
_atom_site_fract_z
Ca1 Ca 0.001 0.000 0.313
Ca2 Ca 0.005 0.529 0.806
Ca3 Ca 0.203 0.131 0.133
Ca4 Ca 0.208 0.385 0.633
Te1 Te 0.003 0.267 0.742
Te2 Te 0.076 0.727 0.550
Te3 Te 0.076 0.799 0.051
W1 W 0.000 0.103 0.000
W2 W 0.000 0.423 0.500
W3 W 0.168 0.570 0.284
W4 W 0.169 0.949 0.790
W5 W 0.177 0.412 0.013
W6 W 0.178 0.105 0.516
O1 O 0.071 0.110 0.166
O2 O 0.076 0.417 0.661
O3 O 0.080 0.531 0.413
O4 O 0.081 0.994 0.919
O5 O 0.086 0.675 0.201
O6 O 0.086 0.847 0.704
O7 O 0.093 0.015 0.466
O8 O 0.096 0.506 0.958
O9 O 0.129 0.434 0.195
O10 O 0.131 0.086 0.700
O11 O 0.141 0.266 0.985
O12 O 0.145 0.252 0.485
O13 O 0.232 0.690 0.366
O14 O 0.234 0.827 0.866
O15 O 0.240 0.075 0.370
O16 O 0.243 0.438 0.870
O17 O 0.243 0.553 0.117
O18 O 0.244 0.966 0.622
```

The 10 most intense peaks (15° ≤ 2θ ≤ 90°), by angle:
d_spacing  Rel. int.
4.593  34
4.328  83
3.614  58
3.290  37
3.238  44
3.003  100
2.821  71
2.780  45
2.727  51
2.632  38

***

2.
Structure and calculated powder diffractogram of Ca2TeWO6 (a cell relaxed with PBE+U; CuKα).
Neutral-atom scattering factors, no anomalous dispersion.

Crystal structure
```
data_Ca2TeWO6
_cell_length_a 5.742
_cell_length_b 6.170
_cell_length_c 9.387
_cell_angle_alpha 90.00
_cell_angle_beta 122.35
_cell_angle_gamma 90.00
_symmetry_space_group_name_H-M 'P 1 21/c 1'
_symmetry_Int_Tables_number 14
loop_
_symmetry_equiv_pos_as_xyz
'x,y,z'
'-x,-y,-z'
'-x,y+1/2,-z+1/2'
'x,-y+1/2,z+1/2'
loop_
_atom_site_label
_atom_site_type_symbol
_atom_site_fract_x
_atom_site_fract_y
_atom_site_fract_z
Ca1 Ca 0.223 0.022 0.234
Te1 Te 0.000 0.000 0.500
W1 W 0.500 0.000 0.000
O1 O 0.184 0.115 0.781
O2 O 0.218 0.671 0.520
O3 O 0.473 0.226 0.125
```

The 10 most intense peaks (15° ≤ 2θ ≤ 90°), by angle:
d_spacing  Rel. int.
4.867  24
4.194  100
3.965  37
3.085  47
2.982  99
2.860  44
2.790  82
2.097  46
1.761  24
1.719  25

***

3.
Structure and calculated powder diffractogram of Ca2TeWO6 (a cell relaxed with PBE+U; CuKα).
Neutral-atom scattering factors, no anomalous dispersion.

Crystal structure
```
data_Ca2TeWO6
_cell_length_a 5.602
_cell_length_b 5.922
_cell_length_c 6.028
_cell_angle_alpha 69.14
_cell_angle_beta 66.37
_cell_angle_gamma 66.77
_symmetry_space_group_name_H-M 'P 1'
_symmetry_Int_Tables_number 1
loop_
_symmetry_equiv_pos_as_xyz
'x,y,z'
loop_
_atom_site_label
_atom_site_type_symbol
_atom_site_fract_x
_atom_site_fract_y
_atom_site_fract_z
Ca1 Ca 0.000 0.000 0.000
Ca2 Ca 0.470 0.559 0.566
Te1 Te 0.244 0.284 0.319
W1 W 0.785 0.891 0.612
O1 O 0.003 0.655 0.800
O2 O 0.173 0.963 0.344
O3 O 0.454 0.825 0.787
O4 O 0.633 0.203 0.319
O5 O 0.725 0.167 0.737
O6 O 0.853 0.711 0.369
```

The 10 most intense peaks (15° ≤ 2θ ≤ 90°), by angle:
d_spacing  Rel. int.
5.368  84
5.289  39
4.334  46
4.308  61
4.278  55
3.390  31
3.167  100
2.914  54
2.788  100
2.728  32

***

4.
Structure and calculated powder diffractogram of CaTi3V5O16 (a cell relaxed with PBE+U; CuKα).
Neutral-atom scattering factors, no anomalous dispersion.

Crystal structure
```
data_CaTi3V5O16
_cell_length_a 5.925
_cell_length_b 6.014
_cell_length_c 10.572
_cell_angle_alpha 88.82
_cell_angle_beta 89.56
_cell_angle_gamma 61.67
_symmetry_space_group_name_H-M 'P 1'
_symmetry_Int_Tables_number 1
loop_
_symmetry_equiv_pos_as_xyz
'x,y,z'
loop_
_atom_site_label
_atom_site_type_symbol
_atom_site_fract_x
_atom_site_fract_y
_atom_site_fract_z
Ca1 Ca 0.000 0.000 0.000
Ti1 Ti 0.094 0.646 0.288
Ti2 Ti 0.510 0.508 0.752
Ti3 Ti 0.707 0.315 0.276
V1 V 0.007 0.005 0.695
V2 V 0.019 0.496 0.720
V3 V 0.338 0.005 0.271
V4 V 0.503 0.005 0.737
V5 V 0.644 0.700 0.485
O1 O 0.019 0.018 0.328
O2 O 0.152 0.165 0.812
O3 O 0.170 0.681 0.818
O4 O 0.326 0.353 0.641
O5 O 0.357 0.920 0.121
O6 O 0.365 0.822 0.624
O7 O 0.370 0.317 0.247
O8 O 0.442 0.642 0.357
O9 O 0.581 0.982 0.410
O10 O 0.688 0.655 0.827
O11 O 0.692 0.168 0.817
O12 O 0.774 0.341 0.123
O13 O 0.805 0.389 0.619
O14 O 0.831 0.821 0.625
O15 O 0.915 0.492 0.372
O16 O 0.945 0.751 0.146
```

The 10 most intense peaks (15° ≤ 2θ ≤ 90°), by angle:
d_spacing  Rel. int.
5.285  100
4.685  13
3.711  15
2.961  10
2.644  11
2.590  11
2.348  12
2.098  23
2.089  11
1.854  11

***

5.
Structure and calculated powder diffractogram of CaTi3V5O16 (a cell relaxed with PBE+U; CuKα).
Neutral-atom scattering factors, no anomalous dispersion.

Crystal structure
```
data_CaTi3V5O16
_cell_length_a 6.044
_cell_length_b 6.055
_cell_length_c 9.259
_cell_angle_alpha 88.96
_cell_angle_beta 89.03
_cell_angle_gamma 60.15
_symmetry_space_group_name_H-M 'P 1'
_symmetry_Int_Tables_number 1
loop_
_symmetry_equiv_pos_as_xyz
'x,y,z'
loop_
_atom_site_label
_atom_site_type_symbol
_atom_site_fract_x
_atom_site_fract_y
_atom_site_fract_z
Ca1 Ca 0.000 0.000 0.000
Ti1 Ti 0.013 0.503 0.819
Ti2 Ti 0.800 0.343 0.346
Ti3 Ti 0.846 0.811 0.349
V1 V 0.014 0.012 0.603
V2 V 0.338 0.331 0.127
V3 V 0.340 0.844 0.342
V4 V 0.502 0.002 0.833
V5 V 0.505 0.505 0.832
O1 O 0.007 0.507 0.239
O2 O 0.135 0.728 0.474
O3 O 0.145 0.146 0.482
O4 O 0.205 0.601 0.958
O5 O 0.210 0.193 0.958
O6 O 0.321 0.846 0.742
O7 O 0.334 0.342 0.724
O8 O 0.499 0.506 0.238
O9 O 0.514 0.009 0.242
O10 O 0.603 0.204 0.959
O11 O 0.668 0.669 0.932
O12 O 0.683 0.660 0.452
O13 O 0.717 0.152 0.476
O14 O 0.841 0.851 0.741
O15 O 0.842 0.327 0.741
O16 O 0.990 0.023 0.238
```

The 10 most intense peaks (15° ≤ 2θ ≤ 90°), by angle:
d_spacing  Rel. int.
4.629  100
4.588  51
4.545  37
3.501  30
3.454  60
2.552  32
2.535  60
2.516  39
2.508  30
1.505  34

***

6.
Structure and calculated powder diffractogram of CaTi3V5O16 (a cell relaxed with PBE+U; CuKα).
Neutral-atom scattering factors, no anomalous dispersion.

Crystal structure
```
data_CaTi3V5O16
_cell_length_a 6.003
_cell_length_b 6.036
_cell_length_c 9.417
_cell_angle_alpha 90.38
_cell_angle_beta 90.45
_cell_angle_gamma 119.65
_symmetry_space_group_name_H-M 'P 1'
_symmetry_Int_Tables_number 1
loop_
_symmetry_equiv_pos_as_xyz
'x,y,z'
loop_
_atom_site_label
_atom_site_type_symbol
_atom_site_fract_x
_atom_site_fract_y
_atom_site_fract_z
Ca1 Ca 0.000 0.000 0.000
Ti1 Ti 0.499 0.990 0.816
Ti2 Ti 0.774 0.136 0.340
Ti3 Ti 0.993 0.502 0.814
V1 V 0.314 0.203 0.349
V2 V 0.330 0.670 0.114
V3 V 0.490 0.487 0.826
V4 V 0.842 0.668 0.327
V5 V 0.995 0.993 0.600
O1 O 0.138 0.871 0.456
O2 O 0.142 0.300 0.460
O3 O 0.184 0.787 0.949
O4 O 0.208 0.394 0.949
O5 O 0.312 0.147 0.734
O6 O 0.320 0.657 0.717
O7 O 0.481 0.004 0.228
O8 O 0.495 0.516 0.231
O9 O 0.600 0.804 0.951
O10 O 0.662 0.347 0.434
O11 O 0.663 0.325 0.923
O12 O 0.704 0.864 0.456
O13 O 0.817 0.660 0.729
O14 O 0.833 0.153 0.730
O15 O 0.988 0.016 0.231
O16 O 0.991 0.522 0.225
```

The 10 most intense peaks (15° ≤ 2θ ≤ 90°), by angle:
d_spacing  Rel. int.
4.708  100
4.599  38
4.551  64
3.519  25
3.486  56
2.535  48
2.524  43
2.507  36
2.278  30
2.002  33